# CaTi2O4
Theoretical powder diffraction line list, λ = 1.5418 Å (Cu Kα). Input: a structure optimized by DFT (GGA-PBE).
Peak positions follow from Bragg's law for the DFT cell and can differ from measured ones.

Structure:
Cell lengths 6.2548, 6.2548, 15.5541 Å; angles 90.00, 90.00, 120.00 degrees
Atoms (fractional coordinates):
1 Ca 0.0000 0.0000 0.0000
2 Ca 0.0000 0.0000 0.2461
3 Ca 0.3333 0.6667 0.6656
4 Ca 0.6667 0.3333 0.3312
5 Ca 0.6667 0.3333 0.5849
6 Ca 0.6667 0.3333 0.9589
7 Ti 0.0000 0.0000 0.6171
8 Ti 0.0122 0.5061 0.1259
9 Ti 0.1654 0.3309 0.4575
10 Ti 0.1654 0.8346 0.4575
11 Ti 0.3205 0.1602 0.7858
12 Ti 0.3333 0.6667 0.2979
13 Ti 0.3333 0.6667 0.9085
14 Ti 0.4939 0.5061 0.1259
15 Ti 0.4939 0.9878 0.1259
16 Ti 0.6691 0.8346 0.4575
17 Ti 0.8398 0.1602 0.7858
18 Ti 0.8398 0.6795 0.7858
19 O 0.0000 0.0000 0.3899
20 O 0.0000 0.0000 0.8579
21 O 0.0084 0.5042 0.8628
22 O 0.0432 0.5216 0.3810
23 O 0.1430 0.2860 0.7080
24 O 0.1430 0.8570 0.7080
25 O 0.1930 0.3859 0.2066
26 O 0.1930 0.8070 0.2066
27 O 0.2917 0.1459 0.5341
28 O 0.3333 0.6667 0.0372
29 O 0.3333 0.6667 0.5233
30 O 0.3618 0.1809 0.0618
31 O 0.4784 0.5216 0.3810
32 O 0.4784 0.9568 0.3810
33 O 0.4958 0.5042 0.8628
34 O 0.4958 0.9916 0.8628
35 O 0.6141 0.8070 0.2066
36 O 0.6667 0.3333 0.1918
37 O 0.6667 0.3333 0.7268
38 O 0.7140 0.8570 0.7080
39 O 0.8191 0.1809 0.0618
40 O 0.8191 0.6382 0.0618
41 O 0.8541 0.1459 0.5341
42 O 0.8541 0.7083 0.5341

Largest 12 diffraction maxima, in order of rising 2θ, 10° ≤ 2θ ≤ 80°:
- 2θ = 17.34°, I = 30
- 2θ = 28.25°, I = 32
- 2θ = 28.54°, I = 29
- 2θ = 33.21°, I = 50
- 2θ = 33.46°, I = 100
- 2θ = 33.59°, I = 50
- 2θ = 40.59°, I = 62
- 2θ = 53.33°, I = 21
- 2θ = 53.59°, I = 36
- 2θ = 53.76°, I = 25
- 2θ = 58.43°, I = 51
- 2θ = 59.08°, I = 53

# CaTiO2
Theoretical powder diffraction line list, λ = 1.5418 Å (Cu Kα). Input: a structure optimized by DFT (GGA-PBE).
Peak positions follow from Bragg's law for the DFT cell and can differ from measured ones.

Structure:
Cell lengths 9.2384, 9.2384, 9.8663 Å; angles 121.47, 121.47, 19.21 degrees
Atoms (fractional coordinates):
1 Ca 0.0111 0.0111 0.2572
2 Ca 0.3467 0.3467 0.8496
3 Ca 0.6533 0.6533 0.1504
4 Ca 0.9889 0.9889 0.7428
5 Ti 0.1794 0.1794 0.8434
6 Ti 0.3019 0.3019 0.4717
7 Ti 0.6981 0.6981 0.5283
8 Ti 0.8206 0.8206 0.1566
9 O 0.1669 0.1669 0.3506
10 O 0.1833 0.1833 0.6491
11 O 0.2228 0.2228 0.0766
12 O 0.4064 0.4064 0.2047
13 O 0.5936 0.5936 0.7953
14 O 0.7772 0.7772 0.9234
15 O 0.8167 0.8167 0.3509
16 O 0.8331 0.8331 0.6494

Largest 12 diffraction maxima, in order of rising 2θ, 10° ≤ 2θ ≤ 80°:
- 2θ = 11.45°, I = 100
- 2θ = 17.98°, I = 27
- 2θ = 29.16°, I = 12
- 2θ = 32.08°, I = 16
- 2θ = 32.51°, I = 16
- 2θ = 34.79°, I = 58
- 2θ = 38.53°, I = 37
- 2θ = 40.09°, I = 16
- 2θ = 46.98°, I = 14
- 2θ = 50.80°, I = 14
- 2θ = 54.17°, I = 22
- 2θ = 60.00°, I = 12

# Ca2Ti3O8
Theoretical powder diffraction line list, λ = 1.5418 Å (Cu Kα). Input: a structure optimized by DFT (GGA-PBE).
Peak positions follow from Bragg's law for the DFT cell and can differ from measured ones.

Structure:
Cell lengths 6.3946, 6.3946, 5.0957 Å; angles 107.96, 107.96, 57.16 degrees
Atoms (fractional coordinates):
1 Ca 0.2254 0.2254 0.1630
2 Ca 0.7746 0.7746 0.8370
3 Ti 0.2333 0.7667 0.5000
4 Ti 0.5000 0.5000 0.0000
5 Ti 0.7667 0.2333 0.5000
6 O 0.1038 0.1038 0.4530
7 O 0.1758 0.6163 0.1067
8 O 0.3837 0.8242 0.8933
9 O 0.4002 0.4002 0.5949
10 O 0.5998 0.5998 0.4051
11 O 0.6163 0.1758 0.1067
12 O 0.8242 0.3837 0.8933
13 O 0.8962 0.8962 0.5470

Largest 12 diffraction maxima, in order of rising 2θ, 10° ≤ 2θ ≤ 80°:
- 2θ = 16.84°, I = 100
- 2θ = 20.27°, I = 36
- 2θ = 27.30°, I = 82
- 2θ = 29.37°, I = 40
- 2θ = 29.63°, I = 69
- 2θ = 33.90°, I = 39
- 2θ = 35.80°, I = 52
- 2θ = 37.71°, I = 23
- 2θ = 44.33°, I = 90
- 2θ = 47.03°, I = 35
- 2θ = 54.39°, I = 42
- 2θ = 62.60°, I = 46

Question: Which formula does entry 1 have?
Answer: CaTi2O4

What did the first record say?
# CaTi2O4
Theoretical powder diffraction line list, λ = 1.5418 Å (Cu Kα). Input: a structure optimized by DFT (GGA-PBE).
Peak positions follow from Bragg's law for the DFT cell and can differ from measured ones.

Structure:
Cell lengths 6.2548, 6.2548, 15.5541 Å; angles 90.00, 90.00, 120.00 degrees
Atoms (fractional coordinates):
1 Ca 0.0000 0.0000 0.0000
2 Ca 0.0000 0.0000 0.2461
3 Ca 0.3333 0.6667 0.6656
4 Ca 0.6667 0.3333 0.3312
5 Ca 0.6667 0.3333 0.5849
6 Ca 0.6667 0.3333 0.9589
7 Ti 0.0000 0.0000 0.6171
8 Ti 0.0122 0.5061 0.1259
9 Ti 0.1654 0.3309 0.4575
10 Ti 0.1654 0.8346 0.4575
11 Ti 0.3205 0.1602 0.7858
12 Ti 0.3333 0.6667 0.2979
13 Ti 0.3333 0.6667 0.9085
14 Ti 0.4939 0.5061 0.1259
15 Ti 0.4939 0.9878 0.1259
16 Ti 0.6691 0.8346 0.4575
17 Ti 0.8398 0.1602 0.7858
18 Ti 0.8398 0.6795 0.7858
19 O 0.0000 0.0000 0.3899
20 O 0.0000 0.0000 0.8579
21 O 0.0084 0.5042 0.8628
22 O 0.0432 0.5216 0.3810
23 O 0.1430 0.2860 0.7080
24 O 0.1430 0.8570 0.7080
25 O 0.1930 0.3859 0.2066
26 O 0.1930 0.8070 0.2066
27 O 0.2917 0.1459 0.5341
28 O 0.3333 0.6667 0.0372
29 O 0.3333 0.6667 0.5233
30 O 0.3618 0.1809 0.0618
31 O 0.4784 0.5216 0.3810
32 O 0.4784 0.9568 0.3810
33 O 0.4958 0.5042 0.8628
34 O 0.4958 0.9916 0.8628
35 O 0.6141 0.8070 0.2066
36 O 0.6667 0.3333 0.1918
37 O 0.6667 0.3333 0.7268
38 O 0.7140 0.8570 0.7080
39 O 0.8191 0.1809 0.0618
40 O 0.8191 0.6382 0.0618
41 O 0.8541 0.1459 0.5341
42 O 0.8541 0.7083 0.5341

Largest 12 diffraction maxima, in order of rising 2θ, 10° ≤ 2θ ≤ 80°:
- 2θ = 17.34°, I = 30
- 2θ = 28.25°, I = 32
- 2θ = 28.54°, I = 29
- 2θ = 33.21°, I = 50
- 2θ = 33.46°, I = 100
- 2θ = 33.59°, I = 50
- 2θ = 40.59°, I = 62
- 2θ = 53.33°, I = 21
- 2θ = 53.59°, I = 36
- 2θ = 53.76°, I = 25
- 2θ = 58.43°, I = 51
- 2θ = 59.08°, I = 53